Record 1
# NaVCl6
Simulated powder X-ray diffraction pattern, λ = 1.5418 Å (Cu Kα). Input: the PBE geometry in Alexandria.
Kinematic intensities with the Lorentz-polarization factor, no thermal factor.

Crystal structure
a b c (Å): 6.4623 6.4623 17.4074
angles (deg): 90.00 90.00 120.00
Space group R-3 (No. 148, hexagonal axes)
One atom of each set of equivalent atoms:
Na (0.0000, 0.0000, 0.0000)
V (0.0000, 0.0000, 0.5000)
Cl (0.0207, 0.7220, 0.4249)

Most intense lines, 2θ = 10–90°, by intensity:
2.823 Å, I = 100, (2 -1 3); 4.707 Å, I = 52, (0 1 2); 2.159 Å, I = 46, (2 -1 6); 5.328 Å, I = 40, (1 0 1); 1.866 Å, I = 25, (3 0 0); 1.660 Å, I = 17, (1 1 9); 3.435 Å, I = 17, (1 0 4); 1.902 Å, I = 16, (3 -1 4); 5.802 Å, I = 14, (0 0 3); 2.055 Å, I = 13, (3 -2 2); 2.901 Å, I = 11, (0 0 6); 1.411 Å, I = 8, (2 2 6)

***

Record 2
# LaZrTi
Simulated powder X-ray diffraction pattern, λ = 1.5418 Å (Cu Kα). Input: the PBE geometry in Alexandria.
Kinematic intensities with the Lorentz-polarization factor, no thermal factor.

Crystal structure
a b c (Å): 3.5220 3.5220 12.0376
angles (deg): 90.00 90.00 90.00
Space group P4/nmm (No. 129, origin choice 2)
One atom of each set of equivalent atoms:
La (0.2500, 0.2500, 0.1134)
Zr (0.2500, 0.2500, 0.6910)
Ti (0.2500, 0.2500, 0.4512)

Most intense lines, 2θ = 10–90°, by intensity:
3.040 Å, I = 100, (1 0 2); 2.647 Å, I = 89, (1 0 3); 2.490 Å, I = 76, (1 1 0); 1.731 Å, I = 30, (1 1 5); 1.466 Å, I = 28, (2 1 3); 1.761 Å, I = 26, (2 0 0); 1.524 Å, I = 25, (2 1 2); 2.408 Å, I = 21, (0 0 5); 1.421 Å, I = 16, (2 0 5); 2.288 Å, I = 15, (1 0 4); 1.545 Å, I = 14, (1 0 7); 1.114 Å, I = 11, (3 1 0)

***

Record 3
# LiCaH2SeF
Simulated powder X-ray diffraction pattern, λ = 1.5418 Å (Cu Kα). Input: the PBE geometry in Alexandria.
Kinematic intensities with the Lorentz-polarization factor, no thermal factor.

Crystal structure
a b c (Å): 4.2009 3.8599 6.3847
angles (deg): 90.00 109.07 90.00
Space group Pm (No. 6)
One atom of each set of equivalent atoms:
Li (0.0000, 0.0000, 0.0000)
Ca (0.7620, 0.5000, 0.5176)
H (0.4543, 0.0000, 0.9072)
H (0.5163, 0.0000, 0.0338)
Se (0.2179, 0.0000, 0.4290)
F (0.9410, 0.5000, 0.8813)

Most intense lines, 2θ = 10–90°, by intensity:
2.767 Å, I = 100, (1 1 0); 6.034 Å, I = 90, (0 0 1); 2.321 Å, I = 36, (1 1 -2); 1.839 Å, I = 32, (1 1 2); 3.017 Å, I = 30, (0 0 2); 3.252 Å, I = 19, (0 1 1); 3.967 Å, I = 19, (1 0 -1); 2.100 Å, I = 15, (2 0 -1); 2.906 Å, I = 12, (1 0 1); 1.930 Å, I = 11, (0 2 0); 1.421 Å, I = 10, (2 2 -1); 1.984 Å, I = 10, (2 0 0)

***

Record 4
# PbCl3F12
Simulated powder X-ray diffraction pattern, λ = 1.5418 Å (Cu Kα). Input: the PBE geometry in Alexandria.
Kinematic intensities with the Lorentz-polarization factor, no thermal factor.

Crystal structure
a b c (Å): 9.3443 9.3443 25.1859
angles (deg): 90.00 90.00 120.00
Space group R3c (No. 161, hexagonal axes)
One atom of each set of equivalent atoms:
Pb (0.0000, 0.0000, 0.0000)
Cl (0.0134, 0.4157, 0.0424)
F (0.0371, 0.4315, 0.5337)
F (0.0403, 0.2158, 0.4485)
F (0.1028, 0.4160, 0.3168)
F (0.1469, 0.4567, 0.7192)

Most intense lines, 2θ = 10–90°, by intensity:
6.808 Å, I = 100, (0 1 2); 3.852 Å, I = 58, (2 0 2); 4.969 Å, I = 33, (1 0 4); 3.404 Å, I = 32, (0 2 4); 2.751 Å, I = 28, (2 1 4); 3.123 Å, I = 27, (1 1 6); 4.198 Å, I = 17, (0 0 6); 2.269 Å, I = 17, (3 0 6); 1.944 Å, I = 16, (2 1 10); 2.697 Å, I = 15, (3 0 0); 1.915 Å, I = 12, (1 1 12); 1.837 Å, I = 12, (2 3 2)

***

Record 5
# TmSnC
Simulated powder X-ray diffraction pattern, λ = 1.5418 Å (Cu Kα). Input: the PBE geometry in Alexandria.
Kinematic intensities with the Lorentz-polarization factor, no thermal factor.

Crystal structure
a b c (Å): 3.6147 3.6147 5.1031
angles (deg): 90.00 90.00 120.00
Space group P3m1 (No. 156)
One atom of each set of equivalent atoms:
Tm (0.0000, 0.0000, 0.0000)
Sn (0.6667, 0.3333, 0.4789)
C (0.3333, 0.6667, 0.1985)

Most intense lines, 2θ = 10–90°, by intensity:
2.668 Å, I = 100, (0 1 1); 1.496 Å, I = 35, (1 0 3); 3.130 Å, I = 23, (1 0 0); 1.152 Å, I = 23, (0 2 3); 1.807 Å, I = 23, (1 1 0); 1.475 Å, I = 21, (1 1 2); 2.552 Å, I = 18, (0 0 2); 1.978 Å, I = 17, (0 1 2); 1.334 Å, I = 5, (2 0 2); 5.103 Å, I = 5, (0 0 1); 1.565 Å, I = 3, (2 0 0); 1.181 Å, I = 3, (0 1 4)

***

Record 6
# Th3Fe3Hg
Simulated powder X-ray diffraction pattern, λ = 1.5418 Å (Cu Kα). Input: the PBE geometry in Alexandria.
Kinematic intensities with the Lorentz-polarization factor, no thermal factor.

Crystal structure
a b c (Å): 9.8660 9.8660 3.7773
angles (deg): 90.00 90.00 120.00
Space group P6_3/m (No. 176)
One atom of each set of equivalent atoms:
Th (0.0525, 0.3759, 0.2500)
Fe (0.0231, 0.1603, 0.7500)
Hg (0.3333, 0.6667, 0.7500)

Most intense lines, 2θ = 10–90°, by intensity:
2.999 Å, I = 100, (1 1 1); 2.848 Å, I = 74, (3 0 0); 2.455 Å, I = 56, (2 1 1); 3.229 Å, I = 41, (2 1 0); 2.830 Å, I = 39, (2 0 1); 1.740 Å, I = 37, (2 3 1); 2.065 Å, I = 37, (2 2 1); 1.574 Å, I = 26, (3 0 2); 1.422 Å, I = 22, (5 1 1); 1.889 Å, I = 20, (0 0 2); 2.370 Å, I = 20, (3 1 0); 1.535 Å, I = 16, (1 5 0)

***

Record 7
# CsSnTe3As
Simulated powder X-ray diffraction pattern, λ = 1.5418 Å (Cu Kα). Input: the PBE geometry in Alexandria.
Kinematic intensities with the Lorentz-polarization factor, no thermal factor.

Crystal structure
a b c (Å): 9.9049 4.3318 11.8665
angles (deg): 90.00 112.51 90.00
Space group P2_1/m (No. 11)
One atom of each set of equivalent atoms:
Cs (0.2205, 0.2500, 0.2668)
Sn (0.1311, 0.2500, 0.5598)
Te (0.1480, 0.2500, 0.8093)
Te (0.3464, 0.7500, 0.5861)
Te (0.4197, 0.7500, 0.1011)
As (0.3687, 0.7500, 0.8561)

Most intense lines, 2θ = 10–90°, by intensity:
3.146 Å, I = 100, (2 1 0); 2.955 Å, I = 44, (1 0 -4); 3.466 Å, I = 34, (1 1 -2); 2.090 Å, I = 33, (1 1 4); 2.166 Å, I = 25, (0 2 0); 2.223 Å, I = 22, (3 1 -4); 1.747 Å, I = 21, (1 2 -4); 2.615 Å, I = 20, (3 1 -1); 3.955 Å, I = 15, (1 0 -3); 2.772 Å, I = 12, (2 1 -3); 3.399 Å, I = 12, (0 1 2); 3.245 Å, I = 11, (3 0 -2)

***

Record 8
# CaAsRu2
Simulated powder X-ray diffraction pattern, λ = 1.5418 Å (Cu Kα). Input: the PBE geometry in Alexandria.
Kinematic intensities with the Lorentz-polarization factor, no thermal factor.

Crystal structure
a b c (Å): 4.3949 4.3949 3.3148
angles (deg): 90.00 90.00 90.00
Space group P4/mmm (No. 123)
One atom of each set of equivalent atoms:
Ca (0.0000, 0.0000, 0.0000)
As (0.5000, 0.5000, 0.0000)
Ru (0.0000, 0.5000, 0.5000)

Most intense lines, 2θ = 10–90°, by intensity:
2.267 Å, I = 100, (1 1 1); 2.197 Å, I = 45, (2 0 0); 1.282 Å, I = 30, (3 1 1); 1.323 Å, I = 17, (2 0 2); 1.554 Å, I = 15, (2 2 0); 1.134 Å, I = 10, (2 2 2); 1.657 Å, I = 9, (0 0 2); 3.108 Å, I = 9, (1 1 0); 3.315 Å, I = 5, (0 0 1); 1.099 Å, I = 5, (4 0 0); 1.832 Å, I = 4, (2 0 1); 4.395 Å, I = 3, (1 0 0)

***

Record 9
# Tb7TlIn2
Simulated powder X-ray diffraction pattern, λ = 1.5418 Å (Cu Kα). Input: the PBE geometry in Alexandria.
Kinematic intensities with the Lorentz-polarization factor, no thermal factor.

Crystal structure
a b c (Å): 11.2650 11.2650 11.2650
angles (deg): 90.00 90.00 90.00
Space group Fm-3m (No. 225)
One atom of each set of equivalent atoms:
Tb (0.0000, 0.0000, 0.0000)
Tb (0.0000, 0.0000, 0.2464)
Tl (0.0000, 0.0000, 0.5000)
In (0.2500, 0.2500, 0.2500)

Most intense lines, 2θ = 10–90°, by intensity:
2.816 Å, I = 100, (4 0 0); 1.991 Å, I = 74, (4 4 0); 3.252 Å, I = 56, (2 2 2); 5.633 Å, I = 44, (2 0 0); 1.259 Å, I = 33, (8 4 0); 1.626 Å, I = 26, (4 4 4); 1.698 Å, I = 25, (6 2 2); 1.150 Å, I = 25, (8 4 4); 2.519 Å, I = 24, (4 2 0); 3.983 Å, I = 16, (2 2 0); 1.878 Å, I = 13, (6 0 0); 1.408 Å, I = 12, (8 0 0)

***

Record 10
# PuGaAu6
Simulated powder X-ray diffraction pattern, λ = 1.5418 Å (Cu Kα). Input: the PBE geometry in Alexandria.
Kinematic intensities with the Lorentz-polarization factor, no thermal factor.

Crystal structure
a b c (Å): 4.8066 5.1830 7.2831
angles (deg): 85.27 89.95 62.40
Space group P-1 (No. 2)
One atom of each set of equivalent atoms:
Pu (0.0000, 0.0000, 0.0000)
Ga (0.5000, 0.0000, 0.5000)
Au (0.1426, 0.7143, 0.4473)
Au (0.3319, 0.3363, 0.7892)
Au (0.3448, 0.3101, 0.1748)

Most intense lines, 2θ = 10–90°, by intensity:
2.488 Å, I = 100, (1 2 1); 2.403 Å, I = 90, (2 1 0); 2.703 Å, I = 62, (1 0 2); 2.142 Å, I = 57, (1 1 3); 2.369 Å, I = 46, (1 2 -1); 2.721 Å, I = 44, (0 1 -2); 2.820 Å, I = 40, (1 0 -2); 2.575 Å, I = 33, (1 -1 0); 2.181 Å, I = 32, (-1 1 2); 1.801 Å, I = 26, (2 0 2); 2.026 Å, I = 22, (1 2 -2); 2.417 Å, I = 21, (0 0 3)

***

Record 11
# La3GdCl4O4
Simulated powder X-ray diffraction pattern, λ = 1.5418 Å (Cu Kα). Input: the PBE geometry in Alexandria.
Kinematic intensities with the Lorentz-polarization factor, no thermal factor.

Crystal structure
a b c (Å): 4.0866 8.1719 6.9549
angles (deg): 90.00 90.00 90.00
Space group Pmm2 (No. 25)
One atom of each set of equivalent atoms:
La (0.0000, 0.0000, 0.0000)
La (0.5000, 0.2517, 0.3525)
Gd (0.0000, 0.5000, 0.0154)
Cl (0.0000, 0.0000, 0.5456)
Cl (0.0000, 0.5000, 0.5521)
Cl (0.5000, 0.2539, 0.8101)
O (0.0000, 0.2555, 0.1753)
O (0.5000, 0.0000, 0.1770)
O (0.5000, 0.5000, 0.1727)

Most intense lines, 2θ = 10–90°, by intensity:
2.648 Å, I = 100, (1 0 2); 3.523 Å, I = 86, (1 0 1); 2.889 Å, I = 70, (1 2 0); 1.618 Å, I = 43, (2 2 2); 6.955 Å, I = 38, (0 0 1); 2.043 Å, I = 37, (2 0 0); 1.767 Å, I = 26, (2 2 1); 2.222 Å, I = 25, (1 2 2); 1.808 Å, I = 23, (1 2 3); 1.600 Å, I = 17, (1 0 4); 1.260 Å, I = 15, (2 2 4); 1.292 Å, I = 12, (3 2 0)

***

Record 12
# In2Pb
Simulated powder X-ray diffraction pattern, λ = 1.5418 Å (Cu Kα). Input: the PBE geometry in Alexandria.
Kinematic intensities with the Lorentz-polarization factor, no thermal factor.

Crystal structure
a b c (Å): 7.3551 7.3551 6.8279
angles (deg): 90.00 90.00 90.00
Space group I4/mcm (No. 140)
One atom of each set of equivalent atoms:
In (0.1464, 0.3536, 0.0000)
Pb (0.0000, 0.0000, 0.2500)

Most intense lines, 2θ = 10–90°, by intensity:
2.854 Å, I = 100, (1 1 2); 2.963 Å, I = 85, (2 1 1); 2.326 Å, I = 76, (3 1 0); 2.502 Å, I = 59, (2 0 2); 1.619 Å, I = 36, (4 0 2); 5.201 Å, I = 34, (1 1 0); 1.546 Å, I = 31, (3 3 2); 1.376 Å, I = 29, (3 1 4); 2.600 Å, I = 23, (2 2 0); 3.678 Å, I = 22, (2 0 0); 1.872 Å, I = 22, (2 1 3); 1.184 Å, I = 20, (4 2 4)

***

Record 13
# Y2Tl3CuSe6
Simulated powder X-ray diffraction pattern, λ = 1.5418 Å (Cu Kα). Input: the PBE geometry in Alexandria.
Kinematic intensities with the Lorentz-polarization factor, no thermal factor.

Crystal structure
a b c (Å): 7.2403 12.1569 7.9564
angles (deg): 90.00 110.01 90.00
Space group C2/m (No. 12)
One atom of each set of equivalent atoms:
Y (0.0000, 0.1621, 0.0000)
Tl (0.0000, 0.0000, 0.5000)
Tl (0.0000, 0.3180, 0.5000)
Cu (0.0000, 0.5000, 0.0000)
Se (0.2148, 0.3492, 0.1882)
Se (0.2363, 0.0000, 0.2371)

Most intense lines, 2θ = 10–90°, by intensity:
2.964 Å, I = 100, (1 3 1); 3.098 Å, I = 62, (2 0 -2); 2.219 Å, I = 39, (1 3 -3); 2.072 Å, I = 38, (3 3 -1); 3.395 Å, I = 20, (2 0 0); 1.696 Å, I = 17, (2 6 -2); 2.173 Å, I = 17, (2 0 2); 3.482 Å, I = 16, (1 3 0); 2.026 Å, I = 16, (0 6 0); 2.804 Å, I = 14, (1 3 -2); 3.738 Å, I = 12, (0 0 2); 7.476 Å, I = 11, (0 0 1)

***

Record 14
# BaDy2Zn
Simulated powder X-ray diffraction pattern, λ = 1.5418 Å (Cu Kα). Input: the PBE geometry in Alexandria.
Kinematic intensities with the Lorentz-polarization factor, no thermal factor.

Crystal structure
a b c (Å): 3.6501 3.6501 34.7908
angles (deg): 90.00 90.00 120.00
Space group R-3m (No. 166, hexagonal axes)
One atom of each set of equivalent atoms:
Ba (0.0000, 0.0000, 0.0000)
Dy (0.0000, 0.0000, 0.1060)
Zn (0.0000, 0.0000, 0.5000)

Most intense lines, 2θ = 10–90°, by intensity:
2.340 Å, I = 100, (1 0 10); 3.148 Å, I = 87, (1 0 1); 2.557 Å, I = 77, (0 1 8); 3.110 Å, I = 68, (0 1 2); 3.866 Å, I = 68, (0 0 9); 1.825 Å, I = 51, (1 1 0); 2.878 Å, I = 46, (0 1 5); 1.650 Å, I = 37, (1 1 9); 1.327 Å, I = 29, (1 1 18); 1.439 Å, I = 21, (0 2 10); 1.130 Å, I = 20, (2 1 10); 1.524 Å, I = 20, (0 1 20)